Mn5Bi4Rh2: calculated powder diffractogram (a wavelength of 1.5418 Å), based on a PBE-relaxed structure.
Intensities are scaled so that the largest is 100.

The 6 most intense peaks (2θ from 10° to 80°), low angle first:
2θ (°), I_rel
25.1, 74.4
29.0, 44.1
31.7, 31.7
38.0, 58.0
41.5, 100.0
49.1, 26.4

Crystal structure
abc: 12.3043 12.3043 12.3043
angles: 90.00 90.00 90.00
Space group F-43m (No. 216)
One atom of each set of equivalent atoms:
1 Mn 0.0000 0.0000 0.2493 x24
2 Mn 0.1604 0.1604 0.1604 x16
3 Bi 0.0000 0.0000 0.0000 x4
4 Bi 0.0000 0.0000 0.5000 x4
5 Bi 0.0389 0.2500 0.7500 x24
6 Rh 0.1289 0.1289 0.3711 x16